Theoretical XRD peak list of Sr2YGaFe2O7 for Cu Kα, 1.54184 Å, from a crystal structure in the Materials Project, relaxed with PBE+U.

Principal peaks in the range 2θ = 5–70°, in order of rising 2θ:
d 11.337, I = 8.3; d 2.868, I = 27.9; d 2.799, I = 31.2; d 2.749, I = 100.0; d 2.314, I = 15.4; d 2.003, I = 34.2; d 1.890, I = 8.4; d 1.632, I = 16.3; d 1.606, I = 20.7; d 1.566, I = 7.0; d 1.501, I = 6.4; d 1.375, I = 7.6

Atomic structure:
Cell lengths 12.024, 12.024, 5.598 Å; angles 103.44, 103.44, 27.60 degrees
Fractional coordinates of all 26 atoms:
1 Sr 0.030 0.578 0.300
2 Sr 0.222 0.778 0.500
3 Sr 0.578 0.030 0.800
4 Sr 0.778 0.222 0.000
5 Y 0.404 0.905 0.649
6 Y 0.905 0.404 0.149
7 Ga 0.223 0.579 0.927
8 Ga 0.579 0.223 0.427
9 Fe 0.334 0.827 0.074
10 Fe 0.479 0.984 0.224
11 Fe 0.827 0.334 0.574
12 Fe 0.984 0.479 0.724
13 O 0.024 0.633 0.787
14 O 0.083 0.097 0.835
15 O 0.097 0.083 0.335
16 O 0.165 0.781 0.928
17 O 0.204 0.229 0.457
18 O 0.229 0.204 0.957
19 O 0.280 0.523 0.269
20 O 0.523 0.280 0.769
21 O 0.581 0.595 0.823
22 O 0.595 0.581 0.323
23 O 0.633 0.024 0.287
24 O 0.701 0.730 0.455
25 O 0.730 0.701 0.955
26 O 0.781 0.165 0.428